# RbZnCr2
Calculated XRD peak list, Cu Kα. Input: a structure optimized by DFT (GGA-PBE).

Atomic structure:
Cell: 5.6904 5.6904 17.8375 Å, 90.00 90.00 90.00°
Space group I4_1/amd (No. 141, origin choice 2)
Unique sites:
Rb 0.0000 0.2500 0.3750 [4 per cell]
Zn 0.0000 0.2500 0.8750 [4 per cell]
Cr 0.0000 0.0000 0.0000 [8 per cell]

Top 8 peaks for 2θ = 15–90°, most intense first:
Position (°2θ)  intensity
24.27  1000
49.72  378
37.50  316
37.62  313
31.44  257
51.83  242
21.62  232
33.05  211